# CoTe2O6
Simulated PXRD pattern, Cu Kα X-rays. Input: the GGA+U geometry in Alexandria.
Neutral-atom scattering factors, no anomalous dispersion.

Peak list (10 most intense, 15° ≤ 2θ ≤ 90°, sorted by position)
- 19.68 deg, intensity 9.4
- 27.45 deg, intensity 100.0
- 29.78 deg, intensity 11.9
- 34.44 deg, intensity 37.2
- 44.59 deg, intensity 23.1
- 52.54 deg, intensity 40.5
- 54.84 deg, intensity 7.5
- 57.52 deg, intensity 19.4
- 61.69 deg, intensity 12.8
- 62.97 deg, intensity 11.5

Atomic structure:
```
CoTe2O6
1.0
9.0218 0.0000 0.0000
-4.5109 7.8131 0.0000
0.0000 0.0000 4.6856
Co Te O
3 6 18
Direct
0.0000 0.0000 0.0000
0.3333 0.6667 0.5080
0.6667 0.3333 0.4920
0.0000 0.3118 0.5000
0.0000 0.6442 0.0000
0.3118 0.0000 0.5000
0.3558 0.3558 0.0000
0.6442 0.0000 0.0000
0.6882 0.6882 0.5000
0.1065 0.5297 0.7335
0.1090 0.2215 0.7537
0.1126 0.8910 0.7537
0.2152 0.4385 0.2802
0.2215 0.1090 0.2463
0.2233 0.7848 0.2802
0.4231 0.8935 0.7335
0.4385 0.2152 0.7198
0.4703 0.5769 0.7335
0.5297 0.1065 0.2665
0.5615 0.7767 0.2802
0.5769 0.4703 0.2665
0.7767 0.5615 0.7198
0.7785 0.8874 0.7537
0.7848 0.2233 0.7198
0.8874 0.7785 0.2463
0.8910 0.1126 0.2463
0.8935 0.4231 0.2665
```